Entry 1:
Starting from a structure optimized by DFT (PBE), the X-ray diffraction stick pattern of Ca2ScP3Pt7 was calculated for Cu Kα, 1.54184 Å.
Peak positions follow from Bragg's law for the DFT cell and can differ from measured ones.

Principal peaks in the range 10 to 90 degrees two-theta, by angle:
(hkl)  2θ (°)  I_rel
1 0 1  22.1  16
1 0 5  27.3  27
1 1 2  31.8  38
1 1 4  33.8  23
1 1 6  37.0  100
1 1 8  41.1  23
2 0 0  44.5  50
2 2 0  64.7  16
2 0 14  66.5  19
3 1 6  77.0  21

Structure:
abc: 4.073 4.073 27.217
angles: 90.00 90.00 90.00
Space group I-4m2 (No. 119)
Inequivalent atoms, fractional coordinates:
Ca 0.000 0.000 0.167
Sc 0.000 0.000 0.000
P 0.000 0.000 0.377
P 0.000 0.500 0.250
Pt 0.000 0.000 0.292
Pt 0.000 0.000 0.500
Pt 0.000 0.500 0.074
Pt 0.000 0.500 0.575

=====

Entry 2:
Starting from a structure optimized by DFT (PBE), the X-ray diffraction stick pattern of CaSn2P2Pt7 was calculated for Cu Kα, 1.54184 Å.
Peak positions follow from Bragg's law for the DFT cell and can differ from measured ones.

Principal peaks in the range 10 to 90 degrees two-theta, by angle:
(hkl)  2θ (°)  I_rel
0 0 4  23.7  38
0 0 5  29.7  23
2 0 -2  32.7  60
2 0 -3  34.4  38
2 0 2  37.0  100
2 0 4  44.4  32
2 2 -1  46.1  63
2 0 -7  48.9  27
2 0 9  71.3  23
4 2 1  79.4  22

Structure:
abc: 5.566 5.562 15.282
angles: 90.00 100.42 90.00
Space group C2/m (No. 12)
Inequivalent atoms, fractional coordinates:
Ca 0.000 0.000 0.000
Sn 0.212 0.000 0.425
P 0.117 0.500 0.235
Pt 0.000 0.500 0.000
Pt 0.175 0.250 0.850
Pt 0.194 0.500 0.389

=====

Entry 3:
Starting from a structure optimized by DFT (PBE), the X-ray diffraction stick pattern of Ca2ZnP3Pt12 was calculated for Cu Kα, 1.54184 Å.
Peak positions follow from Bragg's law for the DFT cell and can differ from measured ones.

Principal peaks in the range 10 to 90 degrees two-theta, by angle:
(hkl)  2θ (°)  I_rel
1 1 0  21.5  22
1 0 4  23.7  21
0 2 4  32.2  100
2 1 4  39.1  17
2 2 0  43.9  55
2 0 8  48.4  37
4 0 4  55.5  18
0 4 8  67.4  14
2 4 4  73.3  14
4 2 8  84.0  12

Structure:
abc: 8.2513 8.2513 17.6913
angles: 90.00 90.00 120.00
Space group R-3m (No. 166, hexagonal axes)
Inequivalent atoms, fractional coordinates:
Ca 0.0000 0.0000 0.1080
Zn 0.0000 0.0000 0.5000
P 0.0000 0.5000 0.0000
Pt 0.0013 0.5006 0.1272
Pt 0.0372 0.5186 0.3621

=====

Entry 4:
Starting from a structure optimized by DFT (PBE), the X-ray diffraction stick pattern of Ca5PuP4 was calculated for Cu Kα, 1.54184 Å.
Peak positions follow from Bragg's law for the DFT cell and can differ from measured ones.

Principal peaks in the range 10 to 90 degrees two-theta, by angle:
(hkl)  2θ (°)  I_rel
2 0 0  10.6  60
0 0 1  12.6  100
4 0 0  21.2  27
1 1 -1  23.7  28
0 0 2  25.4  25
3 1 0  26.2  46
6 0 -2  31.5  27
3 1 -2  31.6  96
6 0 0  32.1  57
3 1 2  41.4  54

Structure:
abc: 18.429 4.284 7.741
angles: 90.00 114.80 90.00
Space group C2/m (No. 12)
Inequivalent atoms, fractional coordinates:
Ca 0.000 0.000 0.000
Ca 0.166 0.500 0.435
Ca 0.166 0.500 0.898
Pu 0.000 0.000 0.500
P 0.000 0.500 0.253
P 0.206 0.000 0.706

=====

Entry 5:
Starting from a structure optimized by DFT (PBE), the X-ray diffraction stick pattern of Ca2Pu2Sb2P was calculated for Cu Kα, 1.54184 Å.
Peak positions follow from Bragg's law for the DFT cell and can differ from measured ones.

Principal peaks in the range 10 to 90 degrees two-theta, by angle:
(hkl)  2θ (°)  I_rel
0 0 2  10.9  100
1 1 2  26.5  75
1 1 4  32.8  85
0 0 6  33.1  17
2 0 0  34.3  52
2 0 2  36.1  25
2 0 6  48.4  23
2 2 0  49.3  19
3 1 2  56.9  19
3 1 4  60.5  30

Structure:
abc: 5.226 5.226 16.236
angles: 90.00 90.00 90.00
Space group I4/mmm (No. 139)
Inequivalent atoms, fractional coordinates:
Ca 0.000 0.000 0.176
Pu 0.000 0.500 0.000
Sb 0.000 0.000 0.369
P 0.000 0.000 0.000

=====

Entry 6:
Starting from a structure optimized by DFT (PBE), the X-ray diffraction stick pattern of Rb2CaP2S6 was calculated for Cu Kα, 1.54184 Å.
Peak positions follow from Bragg's law for the DFT cell and can differ from measured ones.

Principal peaks in the range 10 to 90 degrees two-theta, by angle:
(hkl)  2θ (°)  I_rel
1 0 4  22.2  33
0 0 6  25.3  100
0 1 5  25.6  30
2 0 2  30.5  61
0 2 4  33.9  95
2 0 5  36.3  19
1 1 9  46.4  29
2 2 0  51.8  39
2 2 6  58.5  20
2 2 9  66.3  19

Structure:
abc: 7.0558 7.0558 21.1511
angles: 90.00 90.00 120.00
Space group R-3m (No. 166, hexagonal axes)
Inequivalent atoms, fractional coordinates:
Rb 0.0000 0.0000 0.2289
Ca 0.0000 0.0000 0.0000
P 0.0000 0.0000 0.4451
S 0.0105 0.5052 0.2435